Theoretical X-ray powder pattern of Tl2NiHg for Cu Kα, from a structure optimized by DFT (PBE).
Intensities are scaled so that the largest is 100.

The 10 most intense peaks (10 to 90 degrees two-theta), in order of rising 2θ:
hkl 1 0 1, 29.29 deg, intensity 10; hkl 0 0 9, 30.45 deg, intensity 22; hkl 1 0 4, 32.16 deg, intensity 100; hkl 0 1 5, 33.77 deg, intensity 28; hkl 0 1 8, 40.11 deg, intensity 36; hkl 1 1 0, 51.57 deg, intensity 31; hkl 1 0 13, 54.13 deg, intensity 17; hkl 1 1 9, 61.08 deg, intensity 20; hkl 0 2 4, 62.09 deg, intensity 15; hkl 2 1 4, 84.86 deg, intensity 13

Cell and atoms:
Cell: 3.5442 3.5442 26.4165 Å, 90.00 90.00 120.00°
Space group R3m (No. 160, hexagonal axes)
Inequivalent atoms, fractional coordinates:
Tl  0.0000  0.0000  0.0000 [3 per cell]
Tl  0.0000  0.0000  0.2279 [3 per cell]
Ni  0.0000  0.0000  0.4957 [3 per cell]
Hg  0.0000  0.0000  0.7645 [3 per cell]



Theoretical X-ray powder pattern of Rb3Tl4InI8 for Cu Kα, from a structure optimized by DFT (PBE).
Intensities are scaled so that the largest is 100.

The 10 most intense peaks (10 to 90 degrees two-theta), in order of rising 2θ:
hkl 0 0 3, 10.59 deg, intensity 10; hkl 0 2 4, 24.61 deg, intensity 100; hkl 2 2 0, 35.09 deg, intensity 79; hkl 4 0 4, 43.33 deg, intensity 29; hkl 0 4 8, 50.46 deg, intensity 14; hkl 2 4 4, 56.93 deg, intensity 39; hkl 6 0 0, 62.95 deg, intensity 29; hkl 6 2 4, 79.50 deg, intensity 18; hkl 2 6 8, 84.76 deg, intensity 13; hkl 0 8 4, 89.97 deg, intensity 11

Cell and atoms:
Cell: 10.2307 10.2307 25.0562 Å, 90.00 90.00 120.00°
Space group R-3m (No. 166, hexagonal axes)
Inequivalent atoms, fractional coordinates:
Rb  0.0000  0.5000  0.0000 [9 per cell]
Tl  0.0000  0.0000  0.5000 [3 per cell]
Tl  0.0000  0.5000  0.5000 [9 per cell]
In  0.0000  0.0000  0.0000 [3 per cell]
I  0.0000  0.0000  0.2461 [6 per cell]
I  0.0064  0.5032  0.7520 [18 per cell]



Theoretical X-ray powder pattern of YGa8Fe4 for Cu Kα, from a structure optimized by DFT (PBE).
Intensities are scaled so that the largest is 100.

The 10 most intense peaks (10 to 90 degrees two-theta), in order of rising 2θ:
hkl 0 0 2, 35.41 deg, intensity 15; hkl 3 0 1, 35.65 deg, intensity 30; hkl 2 0 2, 41.21 deg, intensity 35; hkl 4 0 0, 41.45 deg, intensity 100; hkl 2 2 2, 46.41 deg, intensity 43; hkl 4 2 0, 46.63 deg, intensity 28; hkl 3 2 3, 67.68 deg, intensity 13; hkl 6 0 2, 75.50 deg, intensity 15; hkl 6 3 1, 75.64 deg, intensity 18; hkl 4 0 4, 89.48 deg, intensity 8

Cell and atoms:
Cell: 8.706 8.706 5.069 Å, 90.00 90.00 90.00°
Space group I4/mmm (No. 139)
Inequivalent atoms, fractional coordinates:
Y  0.000  0.000  0.000 [2 per cell]
Ga  0.000  0.222  0.500 [8 per cell]
Ga  0.000  0.339  0.000 [8 per cell]
Fe  0.250  0.250  0.250 [8 per cell]



Theoretical X-ray powder pattern of SmY4Er5 for Cu Kα, from a structure optimized by DFT (PBE).
Intensities are scaled so that the largest is 100.

The 10 most intense peaks (10 to 90 degrees two-theta), in order of rising 2θ:
hkl 2 0 1, 30.90 deg, intensity 100; hkl 2 2 1, 35.83 deg, intensity 50; hkl 3 1 4, 51.58 deg, intensity 36; hkl 4 2 2, 61.32 deg, intensity 28; hkl 2 0 6, 61.41 deg, intensity 14; hkl 4 0 2, 64.39 deg, intensity 12; hkl 5 1 0, 84.17 deg, intensity 12; hkl 5 1 5, 84.27 deg, intensity 6; hkl 5 3 0, 86.86 deg, intensity 7; hkl 5 3 5, 86.98 deg, intensity 5

Cell and atoms:
Cell: 6.137 6.139 9.373 Å, 83.65 70.97 70.54°
Space group P1 (No. 1)
Inequivalent atoms, fractional coordinates:
Sm  0.000  0.000  0.000 [1 per cell]
Y  0.299  0.500  0.402 [1 per cell]
Y  0.399  0.000  0.202 [1 per cell]
Y  0.698  0.500  0.603 [1 per cell]
Y  0.799  0.000  0.402 [1 per cell]
Er  0.099  0.500  0.802 [1 per cell]
Er  0.198  0.000  0.604 [1 per cell]
Er  0.499  0.500  0.001 [1 per cell]
Er  0.599  0.000  0.801 [1 per cell]
Er  0.900  0.500  0.200 [1 per cell]